LiMoH3: computed powder XRD pattern (Cu Kα), based on a GGA-PBE-relaxed structure.
No peak broadening, texture or thermal motion is included.

Principal peaks in the range 10° ≤ 2θ ≤ 90°, most intense first:
2θ 19.18, rel. 100, hkl 0 0 3; 2θ 43.64, rel. 71, hkl 1 1 3; 2θ 38.81, rel. 57, hkl 1 1 0; 2θ 25.61, rel. 49, hkl 0 1 2; 2θ 23.04, rel. 42, hkl 1 0 1; 2θ 56.14, rel. 32, hkl 1 1 6

Crystal structure
```
data_LiMoH3
_chemical_formula_sum 'Li6 Mo6 H18'
_cell_length_a 4.6404
_cell_length_b 4.6404
_cell_length_c 13.8823
_cell_angle_alpha 90.00
_cell_angle_beta 90.00
_cell_angle_gamma 120.00
_space_group_name_H-M_alt 'R -3 m'
_space_group_IT_number 166
_space_group_name_Hall '-R 3 2"'
loop_
_atom_site_label
_atom_site_type_symbol
_atom_site_fract_x
_atom_site_fract_y
_atom_site_fract_z
_atom_site_occupancy
Li1 Li 0.0000 0.0000 0.1098 1
Mo1 Mo 0.0000 0.0000 0.3284 1
H1 H 0.0039 0.5020 0.9055 1
```